Starting from DFT lattice parameters and positions (PBE), the XRD peak list of La10Nd4Tm was calculated for Cu Kα (λ = 1.5418 Å).

Crystal structure
a = 10.093 Å, b = 10.093 Å, c = 10.498 Å
α = 90.00°, β = 90.00°, γ = 90.00°
Space group I4/m (No. 87)
Unique sites:
La 0.000 0.500 0.250
La 0.114 0.800 0.160
Nd 0.051 0.676 0.500
Tm 0.000 0.000 0.500

Main lines, low angle first (15 to 90 degrees two-theta):
| d [Å] | Rel. int. |
| --- | --- |
| 3.306 | 83 |
| 3.204 | 100 |
| 3.192 | 85 |
| 2.766 | 59 |
| 2.727 | 85 |
| 2.705 | 33 |
| 2.257 | 24 |
| 2.186 | 27 |
| 2.073 | 33 |
| 1.596 | 22 |

***

Starting from DFT lattice parameters and positions (PBE), the XRD peak list of La2Nd2Tm3 was calculated for Cu Kα (λ = 1.5418 Å).

Crystal structure
a = 6.190 Å, b = 13.028 Å, c = 6.363 Å
α = 90.00°, β = 111.51°, γ = 90.00°
Space group P2_1/c (No. 14)
Unique sites:
La 0.094 0.178 0.370
Nd 0.395 0.709 0.638
Tm 0.174 0.048 0.883
Tm 0.500 0.000 0.500

Main lines, low angle first (15 to 90 degrees two-theta):
| d [Å] | Rel. int. |
| --- | --- |
| 3.467 | 30 |
| 3.408 | 20 |
| 2.988 | 42 |
| 2.886 | 68 |
| 2.831 | 50 |
| 2.811 | 53 |
| 2.758 | 100 |
| 2.740 | 99 |
| 2.593 | 29 |
| 1.766 | 18 |

***

Starting from DFT lattice parameters and positions (PBE), the XRD peak list of La4Nd3Tm was calculated for Cu Kα (λ = 1.5418 Å).

Crystal structure
a = 24.194 Å, b = 3.692 Å, c = 6.339 Å
α = 90.00°, β = 94.78°, γ = 90.00°
Space group C2/m (No. 12)
Unique sites:
La 0.124 0.000 0.371
La 0.250 0.000 0.750
Nd 0.000 0.500 0.500
Nd 0.122 0.500 0.874
Tm 0.000 0.000 0.000

Main lines, low angle first (15 to 90 degrees two-theta):
| d [Å] | Rel. int. |
| --- | --- |
| 3.009 | 100 |
| 2.994 | 33 |
| 2.609 | 45 |
| 2.590 | 22 |
| 1.844 | 32 |
| 1.834 | 16 |
| 1.574 | 19 |
| 1.570 | 19 |
| 1.564 | 9 |
| 1.167 | 11 |

***

Starting from DFT lattice parameters and positions (PBE), the XRD peak list of La2Nd7Tm2 was calculated for Cu Kα (λ = 1.5418 Å).

Crystal structure
a = 11.637 Å, b = 11.632 Å, c = 6.166 Å
α = 90.00°, β = 112.35°, γ = 90.00°
Space group C2/m (No. 12)
Unique sites:
La 0.074 0.000 0.303
Nd 0.000 0.500 0.500
Nd 0.182 0.269 0.680
Nd 0.225 0.500 0.094
Tm 0.000 0.284 0.000

Main lines, low angle first (15 to 90 degrees two-theta):
| d [Å] | Rel. int. |
| --- | --- |
| 3.566 | 16 |
| 3.044 | 12 |
| 2.959 | 23 |
| 2.908 | 41 |
| 2.892 | 100 |
| 2.695 | 59 |
| 2.592 | 9 |
| 2.052 | 11 |
| 1.852 | 12 |
| 1.676 | 10 |